# CaTmZnAu
Computed XRD peak list, Cu Kα (weighted mean of Kα1 and Kα2). Input: a crystal structure in Alexandria, relaxed with GGA-PBE.

Structure:
a = 3.6074 Å, b = 3.6074 Å, c = 7.1552 Å
α = 90.00°, β = 90.00°, γ = 90.00°
Fractional coordinates of all 4 atoms:
Ca 0.0000 0.0000 0.0000
Tm 0.0000 0.0000 0.5025
Zn 0.5000 0.5000 0.2712
Au 0.5000 0.5000 0.7228

Main lines, in order of rising 2θ (2θ = 10–90°):
- d 7.155, rel. 58, hkl 0 0 1
- d 3.221, rel. 18, hkl 1 0 1
- d 2.551, rel. 53, hkl 1 1 0
- d 2.540, rel. 100, hkl 1 0 2
- d 2.403, rel. 18, hkl 1 1 1
- d 1.990, rel. 17, hkl 1 0 3
- d 1.804, rel. 19, hkl 2 0 0
- d 1.471, rel. 36, hkl 2 1 2
- d 1.465, rel. 15, hkl 1 1 4
- d 1.336, rel. 10, hkl 2 1 3
- d 1.270, rel. 10, hkl 2 0 4
- d 1.140, rel. 17, hkl 3 1 0